(1)
Structure and calculated PXRD pattern of PrSi2Pd2 (a structure optimized by DFT (GGA-PBE); Cu Kα).
Intensities are scaled so that the largest is 100.

Peak list (10 most intense, 10 to 90 degrees two-theta, most intense first)
Position (°2θ)	d (Å)	intensity
34.77	2.580	100.0
42.43	2.130	37.5
34.15	2.625	25.3
72.69	1.301	22.7
22.69	3.920	21.6
56.78	1.621	16.8
35.92	2.500	15.9
63.82	1.458	15.4
55.56	1.654	12.4
61.57	1.506	12.2

Cell and atoms:
Cell lengths 5.838, 5.838, 5.838 Å; angles 137.20, 137.20, 62.14 degrees
Atoms (fractional coordinates):
Pr: 0.000 0.000 0.000
Si: 0.380 0.380 0.000
Si: 0.620 0.620 0.000
Pd: 0.250 0.750 0.500
Pd: 0.750 0.250 0.500

(2)
Structure and calculated PXRD pattern of KNbSi2O7 (a structure optimized by DFT (GGA-PBE); Cu Kα).
Intensities are scaled so that the largest is 100.

Peak list (10 most intense, 10 to 90 degrees two-theta, most intense first)
Position (°2θ)	d (Å)	intensity
31.88	2.807	100.0
21.48	4.137	90.9
20.00	4.439	89.8
29.52	3.026	86.4
14.11	6.277	80.9
24.88	3.579	64.7
31.22	2.865	57.8
25.79	3.454	53.4
28.44	3.139	48.8
45.71	1.985	47.0

Cell and atoms:
Cell lengths 8.877, 8.877, 8.274 Å; angles 90.00, 90.00, 90.00 degrees
Atoms (fractional coordinates):
K: 0.178 0.322 0.000
K: 0.322 0.822 0.000
K: 0.678 0.178 0.000
K: 0.822 0.678 0.000
Nb: 0.000 0.000 0.226
Nb: 0.000 0.000 0.729
Nb: 0.500 0.500 0.226
Nb: 0.500 0.500 0.729
Si: 0.123 0.623 0.311
Si: 0.124 0.624 0.701
Si: 0.376 0.124 0.701
Si: 0.377 0.123 0.311
Si: 0.623 0.877 0.311
Si: 0.624 0.876 0.701
Si: 0.876 0.376 0.701
Si: 0.877 0.377 0.311
O: 0.000 0.000 0.007
O: 0.000 0.000 0.511
O: 0.000 0.500 0.240
O: 0.000 0.500 0.772
O: 0.076 0.787 0.241
O: 0.077 0.788 0.771
O: 0.120 0.620 0.506
O: 0.212 0.077 0.771
O: 0.213 0.076 0.241
O: 0.287 0.576 0.241
O: 0.288 0.577 0.771
O: 0.380 0.120 0.506
O: 0.423 0.288 0.771
O: 0.424 0.287 0.241
O: 0.500 0.000 0.240
O: 0.500 0.000 0.772
O: 0.500 0.500 0.007
O: 0.500 0.500 0.511
O: 0.576 0.713 0.241
O: 0.577 0.712 0.771
O: 0.620 0.880 0.506
O: 0.712 0.423 0.771
O: 0.713 0.424 0.241
O: 0.787 0.924 0.241
O: 0.788 0.923 0.771
O: 0.880 0.380 0.506
O: 0.923 0.212 0.771
O: 0.924 0.213 0.241